Record 1
For Hf2RhS4, a structure optimized by DFT (PBE) gives the simulated PXRD pattern in this record (a wavelength of 1.5418 Å).
Intensities are scaled so that the largest is 100.

Main lines, most intense first (2θ = 10–90°):
27.7°, 3.223 Å, I = 100
39.9°, 2.258 Å, I = 77
39.5°, 2.279 Å, I = 64
28.4°, 3.140 Å, I = 61
57.5°, 1.604 Å, I = 53
39.4°, 2.288 Å, I = 33
20.7°, 4.300 Å, I = 30
13.6°, 6.497 Å, I = 30
49.4°, 1.844 Å, I = 28
57.2°, 1.611 Å, I = 21

Atomic structure:
Lattice parameters (Å, degrees): 7.2522 7.2522 7.2522 143.37 143.37 52.76
Fractional coordinates of all 7 atoms:
Hf 0.1185 0.1185 0.0000
Hf 0.8815 0.8815 0.0000
Rh 0.5000 0.5000 0.0000
S 0.0000 0.5000 0.5000
S 0.3071 0.3071 0.0000
S 0.5000 0.0000 0.5000
S 0.6929 0.6929 0.0000


Record 2
For NaBi4Pd2, a structure optimized by DFT (PBE) gives the simulated PXRD pattern in this record (a wavelength of 1.5418 Å).
Intensities are scaled so that the largest is 100.

Main lines, most intense first (2θ = 10–90°):
31.9°, 2.805 Å, I = 100
30.6°, 2.919 Å, I = 96
13.7°, 6.448 Å, I = 92
32.2°, 2.779 Å, I = 91
43.8°, 2.069 Å, I = 87
21.5°, 4.138 Å, I = 68
39.5°, 2.283 Å, I = 56
27.7°, 3.224 Å, I = 53
31.4°, 2.850 Å, I = 43
48.9°, 1.864 Å, I = 39

Atomic structure:
Lattice parameters (Å, degrees): 7.2336 7.2336 8.9241 109.38 109.38 100.42
Fractional coordinates of all 14 atoms:
Na 0.1251 0.8749 0.7500
Na 0.8749 0.1251 0.2500
Bi 0.1628 0.6500 0.3754
Bi 0.2749 0.2869 0.1245
Bi 0.2869 0.2749 0.6245
Bi 0.3500 0.8372 0.1246
Bi 0.6500 0.1628 0.8754
Bi 0.7131 0.7251 0.3755
Bi 0.7251 0.7131 0.8755
Bi 0.8372 0.3500 0.6246
Pd 0.0000 0.5000 0.0000
Pd 0.5000 0.0000 0.5000
Pd 0.5000 0.5000 0.0000
Pd 0.5000 0.5000 0.5000